Sc8CS6: calculated powder X-ray diffraction pattern (Cu Kα (weighted mean of Kα1 and Kα2)), based on the GGA-PBE geometry in Alexandria.

The 6 most intense peaks (5 to 70 degrees two-theta), by angle:
- 2θ = 28.92°, I = 18, (2 -1 1)
- 2θ = 33.72°, I = 26, (0 0 2)
- 2θ = 40.09°, I = 100, (2 1 1)
- 2θ = 41.23°, I = 30, (3 0 0)
- 2θ = 41.49°, I = 47, (2 -1 2)
- 2θ = 64.63°, I = 21, (3 -1 3)

Atomic structure:
a b c (Å): 7.5840 7.5840 5.3154
angles (deg): 90.00 90.00 120.00
Space group P-31m (No. 162)
Unique sites:
1 Sc 0.0000 0.2460 0.2441 [6 per cell]
2 Sc 0.3333 0.6667 0.0000 [2 per cell]
3 C 0.0000 0.0000 0.0000 [1 per cell]
4 S 0.0000 0.3906 0.7536 [6 per cell]

TmScCS: calculated powder X-ray diffraction pattern (Cu Kα (weighted mean of Kα1 and Kα2)), based on the GGA-PBE geometry in Alexandria.

The 6 most intense peaks (5 to 70 degrees two-theta), by angle:
- 2θ = 14.55°, I = 62, (0 0 3)
- 2θ = 29.38°, I = 65, (0 0 6)
- 2θ = 30.62°, I = 66, (0 1 2)
- 2θ = 35.13°, I = 100, (1 0 4)
- 2θ = 38.21°, I = 34, (0 1 5)
- 2θ = 51.35°, I = 35, (1 1 0)

Atomic structure:
a b c (Å): 3.5587 3.5587 18.2604
angles (deg): 90.00 90.00 120.00
Space group R3m (No. 160, hexagonal axes)
Unique sites:
1 Tm 0.0000 0.0000 0.0000 [3 per cell]
2 Sc 0.0000 0.0000 0.4727 [3 per cell]
3 C 0.0000 0.0000 0.7389 [3 per cell]
4 S 0.0000 0.0000 0.2321 [3 per cell]

ZrScCS: calculated powder X-ray diffraction pattern (Cu Kα (weighted mean of Kα1 and Kα2)), based on the GGA-PBE geometry in Alexandria.

The 6 most intense peaks (5 to 70 degrees two-theta), by angle:
- 2θ = 14.45°, I = 35, (0 0 3)
- 2θ = 30.50°, I = 51, (1 0 1)
- 2θ = 31.67°, I = 45, (0 1 2)
- 2θ = 36.01°, I = 61, (1 0 4)
- 2θ = 38.98°, I = 100, (0 1 5)
- 2θ = 53.45°, I = 44, (1 1 0)

Atomic structure:
a b c (Å): 3.4284 3.4284 18.3928
angles (deg): 90.00 90.00 120.00
Space group R3m (No. 160, hexagonal axes)
Unique sites:
1 Zr 0.0000 0.0000 0.0000 [3 per cell]
2 Sc 0.0000 0.0000 0.8018 [3 per cell]
3 C 0.0000 0.0000 0.3968 [3 per cell]
4 S 0.0000 0.0000 0.5670 [3 per cell]

Th6Si2CS3: calculated powder X-ray diffraction pattern (Cu Kα (weighted mean of Kα1 and Kα2)), based on the GGA-PBE geometry in Alexandria.

The 6 most intense peaks (5 to 70 degrees two-theta), by angle:
- 2θ = 26.45°, I = 28, (2 0 2)
- 2θ = 26.63°, I = 28, (4 0 -2)
- 2θ = 26.76°, I = 58, (3 1 0)
- 2θ = 30.87°, I = 100, (1 1 -2)
- 2θ = 44.11°, I = 23, (5 1 2)
- 2θ = 44.34°, I = 23, (7 1 -2)

Atomic structure:
a b c (Å): 17.823 4.074 8.246
angles (deg): 90.00 102.96 90.00
Space group C2/m (No. 12)
Unique sites:
1 Th 0.001 0.000 0.280 [4 per cell]
2 Th 0.152 0.500 0.574 [4 per cell]
3 Th 0.166 0.500 0.084 [4 per cell]
4 Si 0.165 0.000 0.831 [4 per cell]
5 C 0.000 0.500 0.500 [2 per cell]
6 S 0.000 0.500 0.000 [2 per cell]
7 S 0.172 0.000 0.336 [4 per cell]

Sm6CS5: calculated powder X-ray diffraction pattern (Cu Kα (weighted mean of Kα1 and Kα2)), based on the GGA-PBE geometry in Alexandria.

The 6 most intense peaks (5 to 70 degrees two-theta), by angle:
- 2θ = 27.42°, I = 22, (0 0 2)
- 2θ = 27.50°, I = 64, (1 3 -1)
- 2θ = 31.84°, I = 100, (1 3 1)
- 2θ = 45.59°, I = 34, (1 3 -3)
- 2θ = 45.69°, I = 34, (0 6 0)
- 2θ = 54.10°, I = 17, (2 0 -4)

Atomic structure:
a b c (Å): 6.884 11.903 6.894
angles (deg): 90.00 109.33 90.00
Space group C2/m (No. 12)
Unique sites:
1 Sm 0.230 0.000 0.268 [4 per cell]
2 Sm 0.231 0.154 0.731 [8 per cell]
3 C 0.000 0.000 0.500 [2 per cell]
4 S 0.000 0.171 0.000 [4 per cell]
5 S 0.000 0.334 0.500 [4 per cell]
6 S 0.000 0.500 0.000 [2 per cell]

TbSmCS: calculated powder X-ray diffraction pattern (Cu Kα (weighted mean of Kα1 and Kα2)), based on the GGA-PBE geometry in Alexandria.

The 6 most intense peaks (5 to 70 degrees two-theta), by angle:
- 2θ = 28.51°, I = 100, (1 0 1)
- 2θ = 32.90°, I = 62, (1 1 0)
- 2θ = 33.31°, I = 30, (0 0 2)
- 2θ = 47.52°, I = 44, (1 1 2)
- 2θ = 56.08°, I = 32, (2 1 1)
- 2θ = 59.00°, I = 23, (2 0 2)

Atomic structure:
a b c (Å): 3.850 3.850 5.380
angles (deg): 90.00 90.00 90.00
Space group P4/mmm (No. 123)
Unique sites:
1 Tb 0.000 0.000 0.000 [1 per cell]
2 Sm 0.500 0.500 0.500 [1 per cell]
3 C 0.500 0.500 0.000 [1 per cell]
4 S 0.000 0.000 0.500 [1 per cell]

Sm3TeCS: calculated powder X-ray diffraction pattern (Cu Kα (weighted mean of Kα1 and Kα2)), based on the GGA-PBE geometry in Alexandria.

The 6 most intense peaks (5 to 70 degrees two-theta), by angle:
- 2θ = 26.15°, I = 91, (0 0 3)
- 2θ = 29.38°, I = 71, (1 1 -2)
- 2θ = 31.91°, I = 100, (2 1 -1)
- 2θ = 33.92°, I = 93, (3 0 0)
- 2θ = 35.10°, I = 96, (0 1 3)
- 2θ = 39.74°, I = 66, (1 0 4)

Atomic structure:
a b c (Å): 8.209 3.872 10.572
angles (deg): 90.00 104.98 90.00
Space group P2_1/m (No. 11)
Unique sites:
1 Sm 0.009 0.250 0.359 [2 per cell]
2 Sm 0.316 0.250 0.047 [2 per cell]
3 Sm 0.365 0.750 0.604 [2 per cell]
4 Te 0.301 0.750 0.284 [2 per cell]
5 C 0.169 0.250 0.580 [2 per cell]
6 S 0.337 0.750 0.870 [2 per cell]

SnCS3: calculated powder X-ray diffraction pattern (Cu Kα (weighted mean of Kα1 and Kα2)), based on the GGA-PBE geometry in Alexandria.

The 6 most intense peaks (5 to 70 degrees two-theta), by angle:
- 2θ = 20.77°, I = 37, (1 0 0)
- 2θ = 29.53°, I = 58, (1 1 0)
- 2θ = 36.38°, I = 100, (1 1 1)
- 2θ = 42.26°, I = 58, (2 0 0)
- 2θ = 52.40°, I = 25, (2 1 1)
- 2θ = 61.30°, I = 37, (2 2 0)

Atomic structure:
a b c (Å): 4.277 4.277 4.277
angles (deg): 90.00 90.00 90.00
Space group Pm-3m (No. 221)
Unique sites:
1 Sn 0.000 0.000 0.000 [1 per cell]
2 C 0.500 0.500 0.500 [1 per cell]
3 S 0.000 0.500 0.500 [3 per cell]

Sr3CS: calculated powder X-ray diffraction pattern (Cu Kα (weighted mean of Kα1 and Kα2)), based on the GGA-PBE geometry in Alexandria.

The 6 most intense peaks (5 to 70 degrees two-theta), by angle:
- 2θ = 16.76°, I = 15, (1 0 0)
- 2θ = 29.25°, I = 100, (1 1 1)
- 2θ = 33.90°, I = 58, (2 0 0)
- 2θ = 48.70°, I = 40, (2 2 0)
- 2θ = 57.82°, I = 43, (3 1 1)
- 2θ = 60.66°, I = 14, (2 2 2)

Atomic structure:
a b c (Å): 5.289 5.289 5.289
angles (deg): 90.00 90.00 90.00
Space group Pm-3m (No. 221)
Unique sites:
1 Sr 0.000 0.000 0.500 [3 per cell]
2 C 0.000 0.000 0.000 [1 per cell]
3 S 0.500 0.500 0.500 [1 per cell]

Ta6TiC3S6: calculated powder X-ray diffraction pattern (Cu Kα (weighted mean of Kα1 and Kα2)), based on the GGA-PBE geometry in Alexandria.

The 6 most intense peaks (5 to 70 degrees two-theta), by angle:
- 2θ = 10.14°, I = 100, (0 0 1)
- 2θ = 31.35°, I = 33, (1 3 0)
- 2θ = 34.11°, I = 32, (1 3 1)
- 2θ = 35.67°, I = 35, (2 0 1)
- 2θ = 39.58°, I = 24, (1 3 2)
- 2θ = 41.86°, I = 39, (2 0 2)

Atomic structure:
a b c (Å): 5.742 9.944 8.933
angles (deg): 90.00 102.37 90.00
Space group C2/m (No. 12)
Unique sites:
1 Ta 0.123 0.000 0.370 [4 per cell]
2 Ta 0.123 0.334 0.368 [8 per cell]
3 Ti 0.000 0.000 0.000 [2 per cell]
4 C 0.000 0.168 0.500 [4 per cell]
5 C 0.000 0.500 0.500 [2 per cell]
6 S 0.224 0.500 0.176 [4 per cell]
7 S 0.227 0.167 0.178 [8 per cell]

Tb7CS5: calculated powder X-ray diffraction pattern (Cu Kα (weighted mean of Kα1 and Kα2)), based on the GGA-PBE geometry in Alexandria.

The 6 most intense peaks (5 to 70 degrees two-theta), by angle:
- 2θ = 28.09°, I = 39, (0 2 1)
- 2θ = 28.95°, I = 82, (1 0 -4)
- 2θ = 30.40°, I = 95, (0 1 7)
- 2θ = 32.46°, I = 100, (1 -2 2)
- 2θ = 33.63°, I = 50, (1 1 -3)
- 2θ = 57.79°, I = 43, (2 0 7)

Atomic structure:
a b c (Å): 3.798 6.689 23.157
angles (deg): 90.01 90.02 106.47
Space group P1 (No. 1)
Unique sites:
1 Tb 0.000 0.000 0.000 [1 per cell]
2 Tb 0.009 0.019 0.146 [1 per cell]
3 Tb 0.178 0.354 0.371 [1 per cell]
4 Tb 0.195 0.394 0.788 [1 per cell]
5 Tb 0.297 0.595 0.065 [1 per cell]
6 Tb 0.350 0.698 0.565 [1 per cell]
7 Tb 0.451 0.900 0.288 [1 per cell]
8 Tb 0.469 0.940 0.871 [1 per cell]
9 Tb 0.636 0.275 0.646 [1 per cell]
10 Tb 0.650 0.293 0.500 [1 per cell]
11 Tb 0.725 0.451 0.208 [1 per cell]
12 Tb 0.765 0.532 0.934 [1 per cell]
13 Tb 0.883 0.762 0.434 [1 per cell]
14 Tb 0.920 0.842 0.708 [1 per cell]
15 C 0.264 0.523 0.468 [1 per cell]
16 C 0.384 0.770 0.968 [1 per cell]
17 S 0.009 0.020 0.590 [1 per cell]
18 S 0.093 0.184 0.254 [1 per cell]
19 S 0.115 0.231 0.899 [1 per cell]
20 S 0.278 0.558 0.678 [1 per cell]
21 S 0.368 0.735 0.178 [1 per cell]
22 S 0.533 0.062 0.399 [1 per cell]
23 S 0.553 0.109 0.754 [1 per cell]
24 S 0.636 0.273 0.090 [1 per cell]
25 S 0.809 0.615 0.323 [1 per cell]
26 S 0.838 0.678 0.823 [1 per cell]

Tb6TeC2S3: calculated powder X-ray diffraction pattern (Cu Kα (weighted mean of Kα1 and Kα2)), based on the GGA-PBE geometry in Alexandria.

The 6 most intense peaks (5 to 70 degrees two-theta), by angle:
- 2θ = 27.73°, I = 17, (4 0 -2)
- 2θ = 28.13°, I = 34, (3 1 0)
- 2θ = 32.17°, I = 100, (1 1 -2)
- 2θ = 45.67°, I = 15, (5 1 2)
- 2θ = 46.55°, I = 23, (7 1 -2)
- 2θ = 47.13°, I = 14, (0 2 0)

Atomic structure:
a b c (Å): 17.102 3.857 8.027
angles (deg): 90.00 102.08 90.00
Space group C2/m (No. 12)
Unique sites:
1 Tb 0.024 0.000 0.286 [4 per cell]
2 Tb 0.176 0.500 0.567 [4 per cell]
3 Tb 0.179 0.500 0.133 [4 per cell]
4 Te 0.000 0.500 0.000 [2 per cell]
5 C 0.171 0.000 0.341 [4 per cell]
6 S 0.000 0.500 0.500 [2 per cell]
7 S 0.161 0.000 0.836 [4 per cell]

Th5C4S: calculated powder X-ray diffraction pattern (Cu Kα (weighted mean of Kα1 and Kα2)), based on the GGA-PBE geometry in Alexandria.

The 6 most intense peaks (5 to 70 degrees two-theta), by angle:
- 2θ = 28.06°, I = 31, (2 0 -3)
- 2θ = 28.40°, I = 100, (1 1 1)
- 2θ = 32.81°, I = 89, (2 0 2)
- 2θ = 46.86°, I = 30, (1 1 -4)
- 2θ = 47.26°, I = 22, (5 1 0)
- 2θ = 55.86°, I = 19, (3 1 3)

Atomic structure:
a b c (Å): 12.796 3.839 9.540
angles (deg): 90.00 119.72 90.00
Space group C2/m (No. 12)
Unique sites:
1 Th 0.000 0.000 0.000 [2 per cell]
2 Th 0.109 0.500 0.383 [4 per cell]
3 Th 0.207 0.000 0.816 [4 per cell]
4 C 0.101 0.500 0.900 [4 per cell]
5 C 0.197 0.000 0.298 [4 per cell]
6 S 0.000 0.000 0.500 [2 per cell]

Th4C3S: calculated powder X-ray diffraction pattern (Cu Kα (weighted mean of Kα1 and Kα2)), based on the GGA-PBE geometry in Alexandria.

The 6 most intense peaks (5 to 70 degrees two-theta), by angle:
- 2θ = 28.27°, I = 100, (1 1 1)
- 2θ = 32.76°, I = 70, (2 0 0)
- 2θ = 47.00°, I = 52, (2 2 0)
- 2θ = 55.76°, I = 49, (3 1 1)
- 2θ = 58.47°, I = 18, (2 2 2)
- 2θ = 68.66°, I = 8, (4 0 0)

Atomic structure:
a b c (Å): 5.468 5.468 5.468
angles (deg): 90.00 90.00 90.00
Space group Pm-3m (No. 221)
Unique sites:
1 Th 0.000 0.000 0.000 [1 per cell]
2 Th 0.000 0.500 0.500 [3 per cell]
3 C 0.000 0.000 0.500 [3 per cell]
4 S 0.500 0.500 0.500 [1 per cell]